Starting from a PBE+U-relaxed structure, the X-ray diffraction stick pattern of K2RbTmV2O8 was simulated for Cu Kα (weighted mean of Kα1 and Kα2).

Largest 6 diffraction maxima, in order of rising 2θ, 2θ from 5° to 70°:
index, d [Å], intensity
1 0 0, 5.182, 40
1 0 1, 4.310, 26
0 1 2, 3.107, 100
1 1 0, 2.992, 87
2 0 2, 2.155, 48
1 2 2, 1.749, 36

Structure:
abc: 5.9834 5.9834 7.7647
angles: 90.00 90.00 120.00
Space group P-3m1 (No. 164)
Inequivalent atoms, fractional coordinates:
1 K 0.3333 0.6667 0.1962
2 Rb 0.0000 0.0000 0.5000
3 Tm 0.0000 0.0000 0.0000
4 V 0.3333 0.6667 0.7520
5 O 0.1735 0.3470 0.8309
6 O 0.3333 0.6667 0.5352